# SrSn2HgS6
Calculated X-ray powder pattern, Cu Kα. Input: DFT lattice parameters and positions (PBE).

Structure:
```
data_SrSn2HgS6
_cell_length_a 13.589
_cell_length_b 12.836
_cell_length_c 7.219
_cell_angle_alpha 90.00
_cell_angle_beta 110.74
_cell_angle_gamma 90.00
_symmetry_space_group_name_H-M 'C 1 2/c 1'
_symmetry_Int_Tables_number 15
loop_
_symmetry_equiv_pos_as_xyz
'x,y,z'
'-x,-y,-z'
'-x,y,-z+1/2'
'x,-y,z+1/2'
'x+1/2,y+1/2,z'
'-x+1/2,-y+1/2,-z'
'-x+1/2,y+1/2,-z+1/2'
'x+1/2,-y+1/2,z+1/2'
loop_
_atom_site_label
_atom_site_type_symbol
_atom_site_fract_x
_atom_site_fract_y
_atom_site_fract_z
_atom_site_occupancy
Sr1 Sr 0.000 0.115 0.250 1
Sn1 Sn 0.198 0.428 0.215 1
Hg1 Hg 0.000 0.266 0.750 1
S1 S 0.115 0.072 0.672 1
S2 S 0.121 0.433 0.478 1
S3 S 0.130 0.257 0.079 1
```

Peak list (10 most intense, 15° ≤ 2θ ≤ 90°, sorted by position)
hkl 2 2 0, 2θ 19.66, rel. 1000
hkl 2 2 -1, 2θ 20.73, rel. 798
hkl 3 1 -1, 2θ 21.58, rel. 512
hkl 3 1 0, 2θ 22.10, rel. 507
hkl 1 3 -1, 2θ 24.29, rel. 834
hkl 0 0 2, 2θ 26.39, rel. 995
hkl 0 4 1, 2θ 30.85, rel. 489
hkl 4 0 -2, 2θ 31.08, rel. 500
hkl 5 3 1, 2θ 47.48, rel. 567
hkl 1 3 3, 2θ 48.43, rel. 513